1.
This entry pairs a crystal structure of BaSr7Co5Cu3O24 with its calculated X-ray diffraction stick pattern. Radiation: copper Kα. Structure: a crystal structure in the Materials Project, relaxed with GGA+U.
Lines closer than 0.1° are merged.

Structural model:
Unit cell a=7.8476 b=7.8476 c=7.7059 alpha=90.04 beta=90.04 gamma=90.01
Element x y z (fractional)
Ba  0.0000  0.0000  0.0000
Sr  0.0005  0.4975  0.4984
Sr  0.0008  0.0008  0.4985
Sr  0.0007  0.4976  0.9995
Sr  0.4974  0.4974  0.9995
Sr  0.4970  0.4970  0.4979
Sr  0.4975  0.0004  0.4984
Sr  0.4976  0.0007  0.9995
Co  0.2502  0.2502  0.7475
Co  0.2503  0.7480  0.7476
Co  0.7467  0.7467  0.2498
Co  0.7480  0.2503  0.7476
Co  0.7480  0.7480  0.7476
Cu  0.2494  0.2494  0.2490
Cu  0.2489  0.7484  0.2494
Cu  0.7484  0.2489  0.2494
O  0.9996  0.2546  0.7450
O  0.2498  0.2498  0.5079
O  0.2496  0.7480  0.5092
O  0.2506  0.4993  0.2499
O  0.2508  0.4986  0.7472
O  0.2534  0.2534  0.9888
O  0.2531  0.7447  0.9875
O  0.2546  0.9996  0.7450
O  0.2565  0.9986  0.2557
O  0.4984  0.7472  0.2499
O  0.4993  0.2506  0.2499
O  0.4986  0.2508  0.7472
O  0.5082  0.7485  0.7478
O  0.7439  0.9891  0.7445
O  0.7442  0.9987  0.2539
O  0.7447  0.2531  0.9875
O  0.7455  0.7455  0.0104
O  0.7472  0.4984  0.2499
O  0.7480  0.2496  0.5092
O  0.7485  0.5082  0.7478
O  0.7475  0.7475  0.4882
O  0.9891  0.7439  0.7445
O  0.9986  0.2565  0.2557
O  0.9987  0.7442  0.2539

Largest 10 diffraction maxima, by angle, 5 to 70 degrees two-theta:
2theta, d/Å, I_rel
16.12, 5.499, 1
32.26, 2.775, 51
32.57, 2.749, 100
40.05, 2.252, 16
46.28, 1.962, 38
47.18, 1.926, 18
57.73, 1.597, 38
58.31, 1.582, 19
67.52, 1.387, 11
68.23, 1.375, 21

***

2.
This entry pairs a crystal structure of Li4Ti3MnO8 with its calculated X-ray diffraction stick pattern. Radiation: copper Kα. Structure: a crystal structure in the Materials Project, relaxed with GGA+U.
Lines closer than 0.1° are merged.

Structural model:
Unit cell a=5.9834 b=5.9834 c=6.0243 alpha=119.69 beta=119.69 gamma=59.98
Element x y z (fractional)
Li  0.0000  0.0000  0.0000
Li  0.0000  0.5000  0.0000
Li  0.5000  0.0000  0.0000
Li  0.5000  0.5000  0.0000
Ti  0.0000  0.0000  0.5000
Ti  0.0000  0.5000  0.5000
Ti  0.5000  0.0000  0.5000
Mn  0.5000  0.5000  0.5000
O  0.2262  0.7536  0.7328
O  0.2452  0.2452  0.7347
O  0.2464  0.7738  0.2672
O  0.2466  0.2466  0.2680
O  0.7534  0.7534  0.7320
O  0.7536  0.2262  0.7328
O  0.7548  0.7548  0.2653
O  0.7738  0.2464  0.2672

Largest 10 diffraction maxima, by angle, 5 to 70 degrees two-theta:
2theta, d/Å, I_rel
17.95, 4.942, 100
35.17, 2.552, 42
36.36, 2.471, 3
36.75, 2.446, 10
42.58, 2.123, 93
46.55, 1.951, 14
56.09, 1.640, 13
61.53, 1.507, 25
62.05, 1.496, 25
65.17, 1.432, 14

***

3.
This entry pairs a crystal structure of Li4Cr3Fe5O16 with its calculated X-ray diffraction stick pattern. Radiation: copper Kα. Structure: a crystal structure in the Materials Project, relaxed with GGA+U.
Lines closer than 0.1° are merged.

Structural model:
Unit cell a=5.8889 b=5.9010 c=9.5653 alpha=89.99 beta=89.44 gamma=60.42
Element x y z (fractional)
Li  0.0000  0.0000  0.0000
Li  0.9996  0.0007  0.4999
Li  0.3255  0.3322  0.6038
Li  0.6595  0.6682  0.1020
Cr  0.1608  0.6652  0.2847
Cr  0.1694  0.1687  0.2779
Cr  0.3403  0.8305  0.7811
Fe  0.3269  0.3399  0.0040
Fe  0.6557  0.1763  0.2831
Fe  0.6638  0.6589  0.5065
Fe  0.8277  0.3374  0.7815
Fe  0.8286  0.8307  0.7832
O  0.0036  0.0017  0.1870
O  0.0118  0.9914  0.6861
O  0.0332  0.4881  0.1622
O  0.1626  0.1651  0.8955
O  0.1683  0.6756  0.8964
O  0.3140  0.3341  0.3912
O  0.3231  0.8262  0.3894
O  0.4636  0.0418  0.1574
O  0.4679  0.4882  0.1612
O  0.5020  0.9617  0.6569
O  0.5115  0.5187  0.6585
O  0.6468  0.6747  0.8928
O  0.6734  0.1666  0.8961
O  0.8397  0.8298  0.3929
O  0.8419  0.3232  0.3963
O  0.9557  0.5164  0.6584

Largest 10 diffraction maxima, by angle, 5 to 70 degrees two-theta:
2theta, d/Å, I_rel
18.55, 4.782, 100
19.58, 4.534, 55
19.71, 4.504, 78
19.79, 4.485, 28
35.76, 2.511, 45
36.24, 2.479, 44
36.44, 2.466, 27
45.21, 2.006, 32
45.47, 1.995, 30
45.71, 1.985, 32

***

4.
This entry pairs a crystal structure of Li4CrSbW2O12 with its calculated X-ray diffraction stick pattern. Radiation: copper Kα. Structure: a crystal structure in the Materials Project, relaxed with GGA+U.
Lines closer than 0.1° are merged.

Structural model:
Unit cell a=5.1730 b=5.4371 c=7.5039 alpha=93.92 beta=90.04 gamma=90.04
Element x y z (fractional)
Li  0.0000  0.0000  0.0000
Li  0.0064  0.0119  0.5325
Li  0.5000  0.4956  0.9926
Li  0.5076  0.4507  0.5553
Cr  0.0045  0.4344  0.8001
Sb  0.5028  0.9343  0.2965
W  0.0010  0.4372  0.2988
W  0.5055  0.9315  0.7971
O  0.1203  0.4251  0.0600
O  0.1898  0.7393  0.3690
O  0.2018  0.1171  0.7496
O  0.3095  0.2400  0.3718
O  0.3201  0.6250  0.7510
O  0.3728  0.9220  0.0502
O  0.6304  0.9204  0.5470
O  0.6873  0.6110  0.2374
O  0.6984  0.2256  0.8583
O  0.7984  0.7377  0.8608
O  0.8244  0.1146  0.2375
O  0.8906  0.4168  0.5414

Largest 10 diffraction maxima, by angle, 5 to 70 degrees two-theta:
2theta, d/Å, I_rel
20.87, 4.256, 16
23.77, 3.743, 100
33.03, 2.712, 39
34.68, 2.587, 27
42.48, 2.128, 14
48.65, 1.872, 18
53.71, 1.707, 26
55.95, 1.643, 17
61.11, 1.516, 15
62.16, 1.493, 10